Calculated powder X-ray diffraction pattern of AcLaHo2 for Cu Kα, 1.54184 Å, from a PBE-relaxed structure.
No peak broadening, texture or thermal motion is included.

Top 10 peaks for 2θ = 15–90°, sorted by position:
2θ 18.5, rel. 3
2θ 30.4, rel. 100
2θ 35.8, rel. 2
2θ 43.5, rel. 19
2θ 47.6, rel. 1
2θ 54.0, rel. 40
2θ 63.2, rel. 13
2θ 71.7, rel. 17
2θ 79.8, rel. 4
2θ 87.7, rel. 21

Structural model:
a = 5.8863 Å, b = 5.8863 Å, c = 5.8863 Å
α = 60.00°, β = 60.00°, γ = 60.00°
Fractional coordinates of all 4 atoms:
Ac: 0.0000 0.0000 0.0000
La: 0.5000 0.5000 0.5000
Ho: 0.2500 0.2500 0.2500
Ho: 0.7500 0.7500 0.7500

***

Calculated powder X-ray diffraction pattern of Ac3La5Ho2 for Cu Kα, 1.54184 Å, from a PBE-relaxed structure.
No peak broadening, texture or thermal motion is included.

Top 10 peaks for 2θ = 15–90°, sorted by position:
2θ 21.6, rel. 16
2θ 28.8, rel. 99
2θ 29.1, rel. 100
2θ 30.6, rel. 48
2θ 34.6, rel. 14
2θ 47.5, rel. 22
2θ 53.2, rel. 19
2θ 53.4, rel. 19
2θ 57.5, rel. 25
2θ 64.4, rel. 18

Structural model:
a = 9.9231 Å, b = 9.9231 Å, c = 10.0902 Å
α = 109.94°, β = 109.94°, γ = 107.77°
Fractional coordinates of all 20 atoms:
Ac: 0.0276 0.9724 0.7500
Ac: 0.1163 0.3746 0.7504
Ac: 0.3746 0.1163 0.2504
Ac: 0.6254 0.8837 0.7496
Ac: 0.8837 0.6254 0.2496
Ac: 0.9724 0.0276 0.2500
La: 0.2236 0.4740 0.4420
La: 0.2311 0.7689 0.7500
La: 0.2840 0.7160 0.2500
La: 0.4740 0.2236 0.9420
La: 0.4768 0.5232 0.2500
La: 0.5232 0.4768 0.7500
La: 0.5260 0.7764 0.0580
La: 0.7160 0.2840 0.7500
La: 0.7689 0.2311 0.2500
La: 0.7764 0.5260 0.5580
Ho: 0.0180 0.2840 0.0500
Ho: 0.2840 0.0180 0.5500
Ho: 0.7160 0.9820 0.4500
Ho: 0.9820 0.7160 0.9500